Diffraction record for TbNi5As3. The X-ray diffraction stick pattern is theoretical, not measured: it uses a cell relaxed with PBE and copper Kα.
Neutral-atom scattering factors, no anomalous dispersion.

Principal peaks in the range 10 to 90 degrees two-theta, sorted by position:
two_theta	Rel. int.	hkl
29.5	25.9	1 1 2
30.3	46.8	0 0 4
32.8	38.3	1 3 0
34.1	92.8	1 1 3
36.2	100.0	1 3 2
37.4	23.4	0 4 3
39.9	63.0	1 1 4
44.5	29.8	1 5 0
47.3	44.6	1 5 2
49.3	59.4	2 0 0
50.6	45.8	0 6 3
57.9	24.0	1 3 6

Structure:
a b c (Å): 3.6966 12.1895 11.7630
angles (deg): 90.00 90.00 90.00
Space group Cmcm (No. 63)
Inequivalent atoms, fractional coordinates:
Tb 0.0000 0.1557 0.2500 [4 per cell]
Ni 0.0000 0.0000 0.0000 [4 per cell]
Ni 0.0000 0.1960 0.5691 [8 per cell]
Ni 0.0000 0.4506 0.1447 [8 per cell]
As 0.0000 0.1179 0.7500 [4 per cell]
As 0.0000 0.3798 0.5467 [8 per cell]


Diffraction record for SrAlO3. The X-ray diffraction stick pattern is theoretical, not measured: it uses a cell relaxed with PBE and copper Kα.
Neutral-atom scattering factors, no anomalous dispersion.

Principal peaks in the range 10 to 90 degrees two-theta, sorted by position:
two_theta	Rel. int.	hkl
17.4	16.1	0 0 1
30.7	100.0	1 0 1
35.2	24.9	0 0 2
35.8	28.7	1 1 0
40.0	44.6	1 1 1
43.7	14.7	1 0 2
51.1	23.5	1 1 2
51.5	25.6	2 0 0
60.4	20.4	1 0 3
61.1	28.1	2 1 1
63.9	16.0	2 0 2
83.3	16.1	2 1 3

Structure:
a b c (Å): 3.5498 3.5498 5.0949
angles (deg): 90.00 90.00 90.00
Space group P4mm (No. 99)
Inequivalent atoms, fractional coordinates:
Sr 0.0000 0.0000 0.0000 [1 per cell]
Al 0.5000 0.5000 0.4936 [1 per cell]
O 0.0000 0.5000 0.6070 [2 per cell]
O 0.5000 0.5000 0.1450 [1 per cell]


Diffraction record for SmGa2Pt4. The X-ray diffraction stick pattern is theoretical, not measured: it uses a cell relaxed with PBE and copper Kα.
Neutral-atom scattering factors, no anomalous dispersion.

Principal peaks in the range 10 to 90 degrees two-theta, sorted by position:
two_theta	Rel. int.	hkl
24.4	10.3	0 1 1
25.1	17.3	1 0 2
33.0	29.7	1 1 2
34.4	12.4	2 1 2
36.5	34.0	3 1 2
36.8	100.0	5 1 1
39.2	11.6	6 1 0
42.8	64.4	0 2 0
44.5	36.4	2 1 3
69.1	10.9	7 1 4
73.1	11.1	10 1 3
74.5	11.3	5 3 1

Structure:
a b c (Å): 16.4478 4.2223 7.2579
angles (deg): 90.00 90.00 90.00
Space group Pnma (No. 62)
Inequivalent atoms, fractional coordinates:
Sm 0.1477 0.2500 0.0639 [4 per cell]
Ga 0.0231 0.7500 0.2499 [4 per cell]
Ga 0.1918 0.2500 0.6163 [4 per cell]
Pt 0.0433 0.7500 0.8966 [4 per cell]
Pt 0.0542 0.2500 0.4456 [4 per cell]
Pt 0.1719 0.7500 0.3959 [4 per cell]
Pt 0.2141 0.7500 0.8154 [4 per cell]


Diffraction record for Li2CeHg4. The X-ray diffraction stick pattern is theoretical, not measured: it uses a cell relaxed with PBE and copper Kα.
Neutral-atom scattering factors, no anomalous dispersion.

Principal peaks in the range 10 to 90 degrees two-theta, sorted by position:
two_theta	Rel. int.	hkl
22.5	39.7	0 1 3
28.0	47.4	1 0 1
28.9	89.3	0 1 5
30.8	50.3	1 0 3
34.4	100.0	1 1 2
36.4	62.0	0 2 0
36.5	83.3	0 1 7
43.2	73.7	1 1 6
48.4	29.1	1 2 3
50.1	25.0	1 0 9
63.5	25.2	1 2 9
69.6	45.2	2 2 0

Structure:
a b c (Å): 3.2311 4.9311 19.8527
angles (deg): 90.00 90.00 90.00
Space group Immm (No. 71)
Inequivalent atoms, fractional coordinates:
Li 0.0000 0.0000 0.1984 [4 per cell]
Ce 0.0000 0.5000 0.0000 [2 per cell]
Hg 0.0000 0.0000 0.3366 [4 per cell]
Hg 0.0000 0.5000 0.4226 [4 per cell]


Diffraction record for PmInSi2Pd5. The X-ray diffraction stick pattern is theoretical, not measured: it uses a cell relaxed with PBE and copper Kα.
Neutral-atom scattering factors, no anomalous dispersion.

Principal peaks in the range 10 to 90 degrees two-theta, sorted by position:
two_theta	Rel. int.	hkl
10.6	9.2	0 0 1
29.6	7.4	1 0 2
36.2	100.0	1 1 2
41.3	40.4	2 0 0
43.4	13.2	0 0 4
43.8	5.0	1 1 3
59.8	13.3	2 2 0
61.4	18.5	2 0 4
71.9	25.8	3 1 2
74.9	12.7	1 1 6
76.7	9.5	2 2 4
89.7	4.4	4 0 0

Structure:
a b c (Å): 4.3729 4.3729 8.3443
angles (deg): 90.00 90.00 90.00
Space group P4/mmm (No. 123)
Inequivalent atoms, fractional coordinates:
Pm 0.0000 0.0000 0.0000 [1 per cell]
In 0.0000 0.0000 0.5000 [1 per cell]
Si 0.5000 0.5000 0.3615 [2 per cell]
Pd 0.0000 0.5000 0.2445 [4 per cell]
Pd 0.5000 0.5000 0.0000 [1 per cell]


Diffraction record for Sm2BHPt6. The X-ray diffraction stick pattern is theoretical, not measured: it uses a cell relaxed with PBE and copper Kα.
Neutral-atom scattering factors, no anomalous dispersion.

Principal peaks in the range 10 to 90 degrees two-theta, sorted by position:
two_theta	Rel. int.	hkl
33.3	59.7	0 0 2
36.9	50.5	0 2 0
37.1	100.0	2 -2 0
41.7	35.2	2 0 0
42.1	34.7	0 2 -2
42.2	34.3	-2 2 2
58.3	22.3	2 -2 2
58.7	10.9	2 0 -4
63.1	11.7	2 2 -2
63.4	22.5	2 -4 0
73.2	6.5	4 -2 0
73.6	12.4	2 -4 2

Structure:
a b c (Å): 5.8679 5.8684 6.3252
angles (deg): 90.15 117.17 119.75
Space group P1 (No. 1)
Inequivalent atoms, fractional coordinates:
Sm 0.0000 0.0000 0.0000 [1 per cell]
Sm 0.0393 0.5202 0.5665 [1 per cell]
B 0.5098 0.2561 0.7728 [1 per cell]
H 0.3411 0.6738 0.0186 [1 per cell]
Pt 0.0033 0.0022 0.5102 [1 per cell]
Pt 0.0248 0.5123 0.0677 [1 per cell]
Pt 0.5044 0.0024 0.5134 [1 per cell]
Pt 0.5041 0.5021 0.5129 [1 per cell]
Pt 0.5512 0.5146 0.0662 [1 per cell]
Pt 0.5528 0.0400 0.0665 [1 per cell]


Diffraction record for Ca2TbPrAu4. The X-ray diffraction stick pattern is theoretical, not measured: it uses a cell relaxed with PBE and copper Kα.
Neutral-atom scattering factors, no anomalous dispersion.

Principal peaks in the range 10 to 90 degrees two-theta, sorted by position:
two_theta	Rel. int.	hkl
21.1	7.7	0 1 2
24.4	14.1	1 0 4
34.8	100.0	1 1 0
41.0	4.3	1 0 10
42.9	4.5	0 2 4
50.0	17.8	2 0 8
56.4	6.2	2 1 4
62.2	8.8	1 0 16
62.3	27.7	3 0 0
73.3	5.5	0 2 16
73.4	5.8	2 2 0
83.8	16.1	3 1 8

Structure:
a b c (Å): 5.1583 5.1583 25.3267
angles (deg): 90.00 90.00 120.00
Space group R-3m (No. 166, hexagonal axes)
Inequivalent atoms, fractional coordinates:
Ca 0.0000 0.0000 0.2494 [6 per cell]
Tb 0.0000 0.0000 0.5000 [3 per cell]
Pr 0.0000 0.0000 0.0000 [3 per cell]
Au 0.0000 0.0000 0.1273 [6 per cell]
Au 0.0000 0.0000 0.3784 [6 per cell]


Diffraction record for YAl2Pd5. The X-ray diffraction stick pattern is theoretical, not measured: it uses a cell relaxed with PBE and copper Kα.
Neutral-atom scattering factors, no anomalous dispersion.

Principal peaks in the range 10 to 90 degrees two-theta, sorted by position:
two_theta	Rel. int.	hkl
15.3	22.2	0 1 1
30.9	19.1	0 2 2
35.1	95.5	1 0 3
35.7	100.0	1 2 1
43.8	56.2	0 2 4
45.3	22.5	1 3 0
47.1	39.8	2 0 0
50.5	11.3	1 0 5
64.4	10.9	1 4 3
66.3	28.8	2 2 4
72.8	11.9	2 4 0
74.5	17.1	1 2 7

Structure:
a b c (Å): 3.8577 7.0251 10.2348
angles (deg): 90.00 90.00 90.00
Space group Immm (No. 71)
Inequivalent atoms, fractional coordinates:
Y 0.0000 0.0000 0.0000 [2 per cell]
Al 0.0000 0.5000 0.2389 [4 per cell]
Pd 0.0000 0.2033 0.3587 [8 per cell]
Pd 0.0000 0.5000 0.0000 [2 per cell]


Diffraction record for Sn3Pd8Au2. The X-ray diffraction stick pattern is theoretical, not measured: it uses a cell relaxed with PBE and copper Kα.
Neutral-atom scattering factors, no anomalous dispersion.

Principal peaks in the range 10 to 90 degrees two-theta, sorted by position:
two_theta	Rel. int.	hkl
22.7	18.5	1 0 4
33.6	63.0	1 1 0
34.8	36.2	1 1 3
38.3	27.9	1 1 6
38.7	100.0	0 1 11
39.4	59.0	2 0 2
41.9	43.6	2 0 5
43.7	24.5	1 1 9
44.7	28.0	0 2 7
63.5	47.3	1 2 11
70.5	33.5	2 2 0
83.5	22.7	3 1 11

Structure:
a b c (Å): 5.3416 5.3416 29.5806
angles (deg): 90.00 90.00 120.00
Space group R-3m (No. 166, hexagonal axes)
Inequivalent atoms, fractional coordinates:
Sn 0.0000 0.0000 0.0000 [3 per cell]
Sn 0.0000 0.0000 0.1874 [6 per cell]
Pd 0.0000 0.0000 0.2748 [6 per cell]
Pd 0.0003 0.5001 0.2231 [18 per cell]
Au 0.0000 0.0000 0.3649 [6 per cell]


Diffraction record for Er5Ni2Pb. The X-ray diffraction stick pattern is theoretical, not measured: it uses a cell relaxed with PBE and copper Kα.
Neutral-atom scattering factors, no anomalous dispersion.

Principal peaks in the range 10 to 90 degrees two-theta, sorted by position:
two_theta	Rel. int.	hkl
27.0	38.2	2 1 1
31.5	54.7	1 1 4
33.1	100.0	2 1 3
33.2	22.0	2 2 0
35.7	61.5	2 0 4
37.3	88.6	3 1 0
43.0	21.6	2 1 5
53.7	15.4	4 2 0
55.5	22.1	4 0 4
58.3	33.3	3 3 4
68.3	27.6	3 1 8
69.7	22.0	4 4 0

Structure:
a b c (Å): 7.6300 7.6300 13.3701
angles (deg): 90.00 90.00 90.00
Space group I4/mcm (No. 140)
Inequivalent atoms, fractional coordinates:
Er 0.0000 0.0000 0.0000 [4 per cell]
Er 0.1583 0.3417 0.1340 [16 per cell]
Ni 0.1294 0.3706 0.5000 [8 per cell]
Pb 0.0000 0.0000 0.2500 [4 per cell]